Simulated powder XRD pattern of FeH2Cl2 for Cu Kα (weighted mean of Kα1 and Kα2), from a structure optimized by DFT (GGA-PBE).

Atomic structure:
abc: 3.778 3.778 14.616
angles: 90.42 90.42 89.46
Positions (direct):
Fe: 0.020 0.980 0.750
Fe: 0.980 0.020 0.250
H: 0.097 0.488 0.005
H: 0.488 0.097 0.505
H: 0.512 0.903 0.495
H: 0.903 0.512 0.995
Cl: 0.016 0.478 0.660
Cl: 0.478 0.016 0.160
Cl: 0.522 0.984 0.840
Cl: 0.984 0.522 0.340

Peak list (6 most intense, 10 to 80 degrees two-theta, in order of rising 2θ)
| two_theta | d [Å] | I (rel.) |
| --- | --- | --- |
| 12.1 | 7.308 | 100 |
| 23.6 | 3.778 | 19 |
| 24.3 | 3.659 | 14 |
| 26.6 | 3.346 | 18 |
| 29.8 | 2.996 | 20 |
| 42.0 | 2.151 | 17 |